# PtO2F6
Calculated powder diffractogram, CuKα. Input: a GGA-PBE-relaxed structure.
No peak broadening, texture or thermal motion is included.

Largest 6 diffraction maxima, in order of falling intensity, 10 to 90 degrees two-theta:
23.81 deg, d = 3.737 Å, I 100, hkl 2 2 0
16.77 deg, d = 5.285 Å, I 87, hkl 2 0 0
41.87 deg, d = 2.158 Å, I 39, hkl 4 2 2
38.07 deg, d = 2.364 Å, I 25, hkl 4 0 2
51.90 deg, d = 1.762 Å, I 22, hkl 4 4 2
66.15 deg, d = 1.413 Å, I 20, hkl 6 2 4

Cell and atoms:
Cell: 10.5706 10.5706 10.5706 Å, 90.00 90.00 90.00°
Space group Ia-3 (No. 206)
Symmetry-distinct sites (fractional):
Pt: 0.2500 0.2500 0.2500 (multiplicity 8)
O: 0.0325 0.0325 0.0325 (multiplicity 16)
F: 0.1062 0.1557 0.3055 (multiplicity 48)